Structure and computed X-ray powder pattern of NaSiSnAu3 (a crystal structure in Alexandria, relaxed with GGA-PBE; λ = 1.5418 Å (Cu Kα)).
Kinematic intensities with the Lorentz-polarization factor, no thermal factor.

Main lines, sorted by position (2θ = 10–90°):
hkl 1 1 1, d = 4.326 Å, intensity 100; hkl 1 3 -1, d = 3.110 Å, intensity 61; hkl 1 3 1, d = 2.997 Å, intensity 42; hkl 0 2 2, d = 2.944 Å, intensity 18; hkl 2 0 -2, d = 2.568 Å, intensity 46; hkl 2 0 2, d = 2.327 Å, intensity 36; hkl 2 4 0, d = 2.246 Å, intensity 29; hkl 0 4 2, d = 2.221 Å, intensity 30; hkl 1 1 -3, d = 2.185 Å, intensity 17; hkl 1 5 1, d = 2.094 Å, intensity 20

Crystal structure
```
data_NaSiSnAu3
_chemical_formula_sum 'Na4 Si4 Sn4 Au12'
_cell_length_a 7.024
_cell_length_b 11.726
_cell_length_c 6.842
_cell_angle_alpha 90.00
_cell_angle_beta 95.65
_cell_angle_gamma 90.00
_symmetry_space_group_name_H-M 'C 1 2/c 1'
_symmetry_Int_Tables_number 15
_symmetry_space_group_name_Hall '-C 2yc'
loop_
_atom_site_label
_atom_site_type_symbol
_atom_site_fract_x
_atom_site_fract_y
_atom_site_fract_z
Na1 Na 0.000 0.243 0.250
Si1 Si 0.000 0.480 0.750
Sn1 Sn 0.000 0.035 0.750
Au1 Au 0.000 0.267 0.750
Au2 Au 0.219 0.416 0.502
```

Structure and computed X-ray powder pattern of AcPm4Ir3 (a crystal structure in Alexandria, relaxed with GGA-PBE; λ = 1.5418 Å (Cu Kα)).
Kinematic intensities with the Lorentz-polarization factor, no thermal factor.

Main lines, sorted by position (2θ = 10–90°):
hkl 2 0 0, d = 6.416 Å, intensity 22; hkl 2 0 -2, d = 4.856 Å, intensity 25; hkl 1 1 -2, d = 4.264 Å, intensity 26; hkl 2 2 -1, d = 3.197 Å, intensity 48; hkl 3 1 1, d = 3.133 Å, intensity 100; hkl 4 2 -2, d = 2.452 Å, intensity 51; hkl 5 1 0, d = 2.423 Å, intensity 86; hkl 1 3 2, d = 2.089 Å, intensity 59; hkl 2 0 4, d = 2.036 Å, intensity 26; hkl 6 2 2, d = 1.566 Å, intensity 27

Crystal structure
```
data_AcPm4Ir3
_chemical_formula_sum 'Ac4 Pm16 Ir12'
_cell_length_a 13.845
_cell_length_b 7.302
_cell_length_c 10.505
_cell_angle_alpha 90.00
_cell_angle_beta 112.06
_cell_angle_gamma 90.00
_symmetry_space_group_name_H-M 'C 1 c 1'
_symmetry_Int_Tables_number 9
_symmetry_space_group_name_Hall 'C -2yc'
loop_
_atom_site_label
_atom_site_type_symbol
_atom_site_fract_x
_atom_site_fract_y
_atom_site_fract_z
Ac1 Ac 0.000 0.180 0.000
Pm1 Pm 0.109 0.320 0.698
Pm2 Pm 0.213 0.162 0.393
Pm3 Pm 0.301 0.335 0.098
Pm4 Pm 0.395 0.166 0.815
Ir1 Ir 0.203 0.000 0.138
Ir2 Ir 0.299 0.499 0.347
Ir3 Ir 0.407 0.009 0.072
```

Structure and computed X-ray powder pattern of Er4Pb3 (a crystal structure in Alexandria, relaxed with GGA-PBE; λ = 1.5418 Å (Cu Kα)).
Kinematic intensities with the Lorentz-polarization factor, no thermal factor.

Main lines, sorted by position (2θ = 10–90°):
hkl 3 1 0, d = 3.263 Å, intensity 26; hkl 0 0 2, d = 3.247 Å, intensity 29; hkl 3 1 -1, d = 3.170 Å, intensity 23; hkl 3 1 1, d = 2.714 Å, intensity 94; hkl 3 1 -2, d = 2.561 Å, intensity 100; hkl 6 0 -1, d = 2.518 Å, intensity 47; hkl 5 1 0, d = 2.428 Å, intensity 24; hkl 0 2 0, d = 2.206 Å, intensity 38; hkl 6 2 -1, d = 1.659 Å, intensity 27; hkl 8 2 1, d = 1.312 Å, intensity 23

Crystal structure
```
data_Er4Pb3
_chemical_formula_sum 'Er8 Pb6'
_cell_length_a 15.170
_cell_length_b 4.413
_cell_length_c 6.776
_cell_angle_alpha 90.00
_cell_angle_beta 106.60
_cell_angle_gamma 90.00
_symmetry_space_group_name_H-M 'C 1 2/m 1'
_symmetry_Int_Tables_number 12
_symmetry_space_group_name_Hall '-C 2y'
loop_
_atom_site_label
_atom_site_type_symbol
_atom_site_fract_x
_atom_site_fract_y
_atom_site_fract_z
Er1 Er 0.065 0.000 0.324
Er2 Er 0.142 0.500 0.753
Pb1 Pb 0.000 0.500 0.000
Pb2 Pb 0.217 0.500 0.297
```

Structure and computed X-ray powder pattern of Tb2Ho3Tl (a crystal structure in Alexandria, relaxed with GGA-PBE; λ = 1.5418 Å (Cu Kα)).
Kinematic intensities with the Lorentz-polarization factor, no thermal factor.

Main lines, sorted by position (2θ = 10–90°):
hkl 1 3 1, d = 2.838 Å, intensity 100; hkl 0 6 0, d = 2.519 Å, intensity 18; hkl 0 0 2, d = 2.433 Å, intensity 16; hkl 2 0 0, d = 2.425 Å, intensity 16; hkl 2 6 0, d = 1.748 Å, intensity 24; hkl 2 0 2, d = 1.717 Å, intensity 12; hkl 1 9 1, d = 1.509 Å, intensity 15; hkl 1 3 3, d = 1.471 Å, intensity 14; hkl 3 3 1, d = 1.468 Å, intensity 14; hkl 2 6 2, d = 1.419 Å, intensity 12

Crystal structure
```
data_Tb2Ho3Tl
_chemical_formula_sum 'Tb4 Ho6 Tl2'
_cell_length_a 4.849
_cell_length_b 15.113
_cell_length_c 4.865
_cell_angle_alpha 90.00
_cell_angle_beta 90.00
_cell_angle_gamma 90.00
_symmetry_space_group_name_H-M 'C m m m'
_symmetry_Int_Tables_number 65
_symmetry_space_group_name_Hall '-C 2 2'
loop_
_atom_site_label
_atom_site_type_symbol
_atom_site_fract_x
_atom_site_fract_y
_atom_site_fract_z
Tb1 Tb 0.000 0.162 0.000
Ho1 Ho 0.000 0.000 0.500
Ho2 Ho 0.000 0.331 0.500
Tl1 Tl 0.000 0.500 0.000
```

Structure and computed X-ray powder pattern of Ni2AsOs (a crystal structure in Alexandria, relaxed with GGA-PBE; λ = 1.5418 Å (Cu Kα)).
Kinematic intensities with the Lorentz-polarization factor, no thermal factor.

Main lines, sorted by position (2θ = 10–90°):
hkl 0 0 2, d = 4.197 Å, intensity 20; hkl 0 1 1, d = 3.795 Å, intensity 14; hkl 1 0 1, d = 2.709 Å, intensity 12; hkl 0 1 3, d = 2.338 Å, intensity 12; hkl 0 2 0, d = 2.127 Å, intensity 28; hkl 0 0 4, d = 2.099 Å, intensity 24; hkl 1 1 2, d = 2.067 Å, intensity 100; hkl 0 2 4, d = 1.494 Å, intensity 16; hkl 1 3 2, d = 1.216 Å, intensity 17; hkl 1 1 6, d = 1.205 Å, intensity 14

Crystal structure
```
data_Ni2AsOs
_chemical_formula_sum 'Ni4 As2 Os2'
_cell_length_a 2.862
_cell_length_b 4.254
_cell_length_c 8.394
_cell_angle_alpha 90.00
_cell_angle_beta 90.00
_cell_angle_gamma 90.00
_symmetry_space_group_name_H-M 'I m m m'
_symmetry_Int_Tables_number 71
_symmetry_space_group_name_Hall '-I 2 2'
loop_
_atom_site_label
_atom_site_type_symbol
_atom_site_fract_x
_atom_site_fract_y
_atom_site_fract_z
Ni1 Ni 0.000 0.000 0.228
As1 As 0.000 0.500 0.500
Os1 Os 0.000 0.500 0.000
```

Structure and computed X-ray powder pattern of Pr2Zn3Ge4Pd (a crystal structure in Alexandria, relaxed with GGA-PBE; λ = 1.5418 Å (Cu Kα)).
Kinematic intensities with the Lorentz-polarization factor, no thermal factor.

Main lines, sorted by position (2θ = 10–90°):
hkl 1 0 3, d = 2.733 Å, intensity 52; hkl 1 1 2, d = 2.637 Å, intensity 100; hkl 2 0 0, d = 2.148 Å, intensity 54; hkl 1 1 4, d = 2.000 Å, intensity 12; hkl 1 0 5, d = 1.905 Å, intensity 26; hkl 2 1 3, d = 1.689 Å, intensity 25; hkl 2 2 0, d = 1.519 Å, intensity 17; hkl 2 1 5, d = 1.425 Å, intensity 20; hkl 3 1 2, d = 1.316 Å, intensity 22; hkl 2 0 8, d = 1.130 Å, intensity 18

Crystal structure
```
data_Pr2Zn3Ge4Pd
_chemical_formula_sum 'Pr2 Zn3 Ge4 Pd1'
_cell_length_a 4.297
_cell_length_b 4.297
_cell_length_c 10.623
_cell_angle_alpha 90.00
_cell_angle_beta 90.00
_cell_angle_gamma 90.00
_symmetry_space_group_name_H-M 'P -4 m 2'
_symmetry_Int_Tables_number 115
_symmetry_space_group_name_Hall 'P -4 -2'
loop_
_atom_site_label
_atom_site_type_symbol
_atom_site_fract_x
_atom_site_fract_y
_atom_site_fract_z
Pr1 Pr 0.000 0.500 0.244
Zn1 Zn 0.000 0.000 0.000
Zn2 Zn 0.000 0.500 0.636
Ge1 Ge 0.000 0.000 0.500
Ge2 Ge 0.000 0.500 0.866
Ge3 Ge 0.500 0.500 0.500
Pd1 Pd 0.500 0.500 0.000
```